Starting from a DFT-relaxed cell (GGA+U, Alexandria), the XRD peak list of CsIn2MoF8 was calculated for Cu Kα (λ = 1.5418 Å).
Kinematic intensities with the Lorentz-polarization factor, no thermal factor.

Cell and atoms:
a b c (Å): 5.169 5.985 8.379
angles (deg): 80.69 86.41 77.93
Element x y z (fractional)
Cs (0.000, 0.000, 0.000)
In (0.413, 0.404, 0.648)
In (0.587, 0.596, 0.352)
Mo (0.000, 0.000, 0.500)
F (0.067, 0.258, 0.630)
F (0.139, 0.735, 0.691)
F (0.360, 0.958, 0.369)
F (0.436, 0.303, 0.887)
F (0.564, 0.697, 0.113)
F (0.640, 0.042, 0.631)
F (0.861, 0.265, 0.309)
F (0.933, 0.742, 0.370)

Most intense lines, 10 to 80 degrees two-theta, by angle:
- 10.70 deg, intensity 75
- 17.32 deg, intensity 67
- 20.88 deg, intensity 74
- 25.65 deg, intensity 85
- 28.35 deg, intensity 100
- 32.47 deg, intensity 54